No. 1
Structure and computed powder X-ray diffraction pattern of Nb2C (DFT lattice parameters and positions (GGA-PBE); Cu Kα).

Structure:
```
data_Nb2C
_chemical_formula_sum 'Nb8 C4'
_symmetry_space_group_name_H-M 'P n m a'
_symmetry_Int_Tables_number 62
_cell_length_a 11.0233
_cell_length_b 3.1069
_cell_length_c 4.9996
_cell_angle_alpha 90.00
_cell_angle_beta 90.00
_cell_angle_gamma 90.00
loop_
_symmetry_equiv_pos_as_xyz
'x,y,z'
'-x,-y,-z'
'-x+1/2,-y,z+1/2'
'x+1/2,y,-z+1/2'
'x+1/2,-y+1/2,-z+1/2'
'-x+1/2,y+1/2,z+1/2'
'-x,y+1/2,-z'
'x,-y+1/2,z'
loop_
_atom_site_label
_atom_site_type_symbol
_atom_site_fract_x
_atom_site_fract_y
_atom_site_fract_z
Nb1 Nb 0.0456 0.2500 0.2460
Nb2 Nb 0.2034 0.2500 0.7341
C1 C 0.1249 0.7500 0.9909
```

Peak list (12 most intense, 2θ = 10–90°, by angle)
33.1 deg, I = 250; 35.9 deg, I = 362; 37.3 deg, I = 624; 37.8 deg, I = 1000; 49.6 deg, I = 223; 58.4 deg, I = 208; 59.5 deg, I = 100; 65.4 deg, I = 110; 65.8 deg, I = 180; 70.5 deg, I = 191; 71.5 deg, I = 94; 72.3 deg, I = 169


No. 2
Structure and computed powder X-ray diffraction pattern of K10Zn4Sn4S17 (DFT lattice parameters and positions (GGA-PBE); Cu Kα).

Structure:
```
data_K10Zn4Sn4S17
_chemical_formula_sum 'K30 Zn12 Sn12 S51'
_symmetry_space_group_name_H-M 'R 3 m'
_symmetry_Int_Tables_number 160
_symmetry_space_group_name_Hall 'R 3 -2"'
_cell_length_a 14.3304
_cell_length_b 14.3304
_cell_length_c 17.3441
_cell_angle_alpha 90.00
_cell_angle_beta 90.00
_cell_angle_gamma 120.00
loop_
_atom_site_label
_atom_site_type_symbol
_atom_site_fract_x
_atom_site_fract_y
_atom_site_fract_z
K1 K 0.0000 0.0000 0.0000
K2 K 0.0006 0.5003 0.8332
K3 K 0.0283 0.5141 0.3484
K4 K 0.2193 0.4387 0.4484
Zn1 Zn 0.0000 0.0000 0.1998
Zn2 Zn 0.0889 0.1777 0.3773
Sn1 Sn 0.0000 0.0000 0.5560
Sn2 Sn 0.1839 0.3678 0.9256
S1 S 0.0000 0.0000 0.3340
S2 S 0.0000 0.0000 0.6927
S3 S 0.0049 0.2751 0.3363
S4 S 0.0934 0.1868 0.5137
S5 S 0.0952 0.1903 0.8769
S6 S 0.1768 0.0884 0.1489
```

Peak list (12 most intense, 2θ = 10–90°, by angle)
12.4 deg, I = 532; 15.2 deg, I = 615; 17.6 deg, I = 1000; 24.9 deg, I = 866; 25.1 deg, I = 810; 26.4 deg, I = 564; 28.0 deg, I = 442; 29.3 deg, I = 886; 37.7 deg, I = 511; 38.0 deg, I = 487; 51.0 deg, I = 454; 51.4 deg, I = 444


No. 3
Structure and computed powder X-ray diffraction pattern of Er3SbO7 (DFT lattice parameters and positions (GGA-PBE); Cu Kα).

Structure:
```
data_Er3SbO7
_chemical_formula_sum 'Er12 Sb4 O28'
_symmetry_space_group_name_H-M 'C 2 2 21'
_symmetry_Int_Tables_number 20
_cell_length_a 7.4797
_cell_length_b 10.5094
_cell_length_c 7.4707
_cell_angle_alpha 90.00
_cell_angle_beta 90.00
_cell_angle_gamma 90.00
loop_
_symmetry_equiv_pos_as_xyz
'x,y,z'
'-x,-y,z+1/2'
'x,-y,-z'
'-x,y,-z+1/2'
'x+1/2,y+1/2,z'
'-x+1/2,-y+1/2,z+1/2'
'x+1/2,-y+1/2,-z'
'-x+1/2,y+1/2,-z+1/2'
loop_
_atom_site_label
_atom_site_type_symbol
_atom_site_fract_x
_atom_site_fract_y
_atom_site_fract_z
Er1 Er 0.0152 0.0000 0.0000
Er2 Er 0.2336 0.2661 0.7504
Sb1 Sb 0.0011 0.5000 0.5000
O1 O 0.0000 0.1289 0.2500
O2 O 0.0000 0.1390 0.7500
O3 O 0.0000 0.4276 0.7500
O4 O 0.1899 0.3717 0.0335
O5 O 0.2033 0.3765 0.4713
```

Peak list (12 most intense, 2θ = 10–90°, by angle)
29.3 deg, I = 1000; 33.9 deg, I = 240; 34.1 deg, I = 108; 48.7 deg, I = 151; 48.9 deg, I = 287; 57.9 deg, I = 277; 58.2 deg, I = 122; 60.8 deg, I = 93; 71.4 deg, I = 42; 79.2 deg, I = 93; 81.4 deg, I = 44; 81.5 deg, I = 41


Repeat the second record exactly.
Structure and computed powder X-ray diffraction pattern of K10Zn4Sn4S17 (DFT lattice parameters and positions (GGA-PBE); Cu Kα).

Structure:
```
data_K10Zn4Sn4S17
_chemical_formula_sum 'K30 Zn12 Sn12 S51'
_symmetry_space_group_name_H-M 'R 3 m'
_symmetry_Int_Tables_number 160
_symmetry_space_group_name_Hall 'R 3 -2"'
_cell_length_a 14.3304
_cell_length_b 14.3304
_cell_length_c 17.3441
_cell_angle_alpha 90.00
_cell_angle_beta 90.00
_cell_angle_gamma 120.00
loop_
_atom_site_label
_atom_site_type_symbol
_atom_site_fract_x
_atom_site_fract_y
_atom_site_fract_z
K1 K 0.0000 0.0000 0.0000
K2 K 0.0006 0.5003 0.8332
K3 K 0.0283 0.5141 0.3484
K4 K 0.2193 0.4387 0.4484
Zn1 Zn 0.0000 0.0000 0.1998
Zn2 Zn 0.0889 0.1777 0.3773
Sn1 Sn 0.0000 0.0000 0.5560
Sn2 Sn 0.1839 0.3678 0.9256
S1 S 0.0000 0.0000 0.3340
S2 S 0.0000 0.0000 0.6927
S3 S 0.0049 0.2751 0.3363
S4 S 0.0934 0.1868 0.5137
S5 S 0.0952 0.1903 0.8769
S6 S 0.1768 0.0884 0.1489
```

Peak list (12 most intense, 2θ = 10–90°, by angle)
12.4 deg, I = 532; 15.2 deg, I = 615; 17.6 deg, I = 1000; 24.9 deg, I = 866; 25.1 deg, I = 810; 26.4 deg, I = 564; 28.0 deg, I = 442; 29.3 deg, I = 886; 37.7 deg, I = 511; 38.0 deg, I = 487; 51.0 deg, I = 454; 51.4 deg, I = 444


Please write out number 2 again, unchanged.
Structure and computed powder X-ray diffraction pattern of K10Zn4Sn4S17 (DFT lattice parameters and positions (GGA-PBE); Cu Kα).

Structure:
```
data_K10Zn4Sn4S17
_chemical_formula_sum 'K30 Zn12 Sn12 S51'
_symmetry_space_group_name_H-M 'R 3 m'
_symmetry_Int_Tables_number 160
_symmetry_space_group_name_Hall 'R 3 -2"'
_cell_length_a 14.3304
_cell_length_b 14.3304
_cell_length_c 17.3441
_cell_angle_alpha 90.00
_cell_angle_beta 90.00
_cell_angle_gamma 120.00
loop_
_atom_site_label
_atom_site_type_symbol
_atom_site_fract_x
_atom_site_fract_y
_atom_site_fract_z
K1 K 0.0000 0.0000 0.0000
K2 K 0.0006 0.5003 0.8332
K3 K 0.0283 0.5141 0.3484
K4 K 0.2193 0.4387 0.4484
Zn1 Zn 0.0000 0.0000 0.1998
Zn2 Zn 0.0889 0.1777 0.3773
Sn1 Sn 0.0000 0.0000 0.5560
Sn2 Sn 0.1839 0.3678 0.9256
S1 S 0.0000 0.0000 0.3340
S2 S 0.0000 0.0000 0.6927
S3 S 0.0049 0.2751 0.3363
S4 S 0.0934 0.1868 0.5137
S5 S 0.0952 0.1903 0.8769
S6 S 0.1768 0.0884 0.1489
```

Peak list (12 most intense, 2θ = 10–90°, by angle)
12.4 deg, I = 532; 15.2 deg, I = 615; 17.6 deg, I = 1000; 24.9 deg, I = 866; 25.1 deg, I = 810; 26.4 deg, I = 564; 28.0 deg, I = 442; 29.3 deg, I = 886; 37.7 deg, I = 511; 38.0 deg, I = 487; 51.0 deg, I = 454; 51.4 deg, I = 444